Diffraction record for Li5NiOF5. The PXRD pattern is calculated, not measured: it uses a crystal structure in Alexandria, relaxed with PBE+U and Cu Kα, 1.54184 Å.
No peak broadening, texture or thermal motion is included.

The 6 most intense peaks (10 to 90 degrees two-theta), in order of falling intensity:
2θ = 32.5°, d 2.754, I = 100; 2θ = 11.7°, d 7.581, I = 80; 2θ = 35.5°, d 2.527, I = 53; 2θ = 33.1°, d 2.710, I = 50; 2θ = 58.0°, d 1.590, I = 47; 2θ = 48.9°, d 1.862, I = 42

Structure:
```
data_Li5NiOF5
_chemical_formula_sum 'Li5 Ni1 O1 F5'
_space_group_name_H-M_alt 'P 3 m 1'
_space_group_IT_number 156
_cell_length_a 3.1805
_cell_length_b 3.1805
_cell_length_c 15.1626
_cell_angle_alpha 90.00
_cell_angle_beta 90.00
_cell_angle_gamma 120.00
loop_
_space_group_symop_operation_xyz
'x,y,z'
'-y,x-y,z'
'-x+y,-x,z'
'-y,-x,z'
'-x+y,y,z'
'x,x-y,z'
loop_
_atom_site_label
_atom_site_type_symbol
_atom_site_fract_x
_atom_site_fract_y
_atom_site_fract_z
_atom_site_occupancy
Li1 Li 0.0000 0.0000 0.0000 1
Li2 Li 0.0000 0.0000 0.3229 1
Li3 Li 0.0000 0.0000 0.6761 1
Li4 Li 0.3333 0.6667 0.1614 1
Li5 Li 0.3333 0.6667 0.8387 1
Ni1 Ni 0.3333 0.6667 0.5095 1
O1 O 0.0000 0.0000 0.5445 1
F1 F 0.0000 0.0000 0.1981 1
F2 F 0.0000 0.0000 0.8753 1
F3 F 0.3333 0.6667 0.0367 1
F4 F 0.3333 0.6667 0.3592 1
F5 F 0.3333 0.6667 0.7139 1
```